[1]
Theoretical powder diffraction line list of Pr6MgRh2 for Cu Kα X-rays, from a cell relaxed with PBE.
Peak positions follow from Bragg's law for the DFT cell and can differ from measured ones.

Principal peaks in the range 2θ from 10° to 80°, low angle first:
2θ = 12.6°, rel. 59
2θ = 30.4°, rel. 100
2θ = 32.0°, rel. 92
2θ = 32.7°, rel. 95
2θ = 33.5°, rel. 88
2θ = 33.8°, rel. 57
2θ = 37.1°, rel. 43
2θ = 37.6°, rel. 53
2θ = 55.6°, rel. 36
2θ = 57.1°, rel. 49

Structure:
Cell lengths 8.867, 8.867, 8.867 Å; angles 113.15, 110.92, 104.46 degrees
Element x y z (fractional)
Pr 0.034 0.234 0.800
Pr 0.180 0.291 0.470
Pr 0.180 0.709 0.889
Pr 0.326 0.017 0.691
Pr 0.326 0.635 0.309
Pr 0.435 0.234 0.200
Pr 0.565 0.766 0.800
Pr 0.674 0.365 0.691
Pr 0.674 0.983 0.309
Pr 0.820 0.291 0.111
Pr 0.820 0.709 0.530
Pr 0.966 0.766 0.200
Mg 0.000 0.000 0.000
Mg 0.500 0.500 0.000
Rh 0.132 0.632 0.500
Rh 0.325 0.000 0.325
Rh 0.675 0.000 0.675
Rh 0.868 0.368 0.500


[2]
Theoretical powder diffraction line list of Pr3MgRh3 for Cu Kα X-rays, from a cell relaxed with PBE.
Peak positions follow from Bragg's law for the DFT cell and can differ from measured ones.

Principal peaks in the range 2θ from 10° to 80°, low angle first:
2θ = 25.8°, rel. 32
2θ = 29.4°, rel. 26
2θ = 32.7°, rel. 34
2θ = 34.0°, rel. 68
2θ = 35.8°, rel. 11
2θ = 38.0°, rel. 100
2θ = 38.6°, rel. 15
2θ = 42.5°, rel. 29
2θ = 56.9°, rel. 11
2θ = 58.3°, rel. 14

Structure:
Cell lengths 5.770, 5.770, 14.187 Å; angles 90.00, 90.00, 136.70 degrees
Element x y z (fractional)
Pr 0.023 0.977 0.750
Pr 0.300 0.700 0.606
Pr 0.300 0.700 0.894
Pr 0.700 0.300 0.106
Pr 0.700 0.300 0.394
Pr 0.977 0.023 0.250
Mg 0.000 0.000 0.000
Mg 0.000 0.000 0.500
Rh 0.253 0.747 0.250
Rh 0.412 0.588 0.091
Rh 0.412 0.588 0.409
Rh 0.588 0.412 0.591
Rh 0.588 0.412 0.909
Rh 0.747 0.253 0.750


[3]
Theoretical powder diffraction line list of Pr2MgRu for Cu Kα X-rays, from a cell relaxed with PBE.
Peak positions follow from Bragg's law for the DFT cell and can differ from measured ones.

Principal peaks in the range 2θ from 10° to 80°, low angle first:
2θ = 10.3°, rel. 100
2θ = 26.2°, rel. 25
2θ = 28.9°, rel. 19
2θ = 30.7°, rel. 100
2θ = 37.8°, rel. 23
2θ = 43.4°, rel. 31
2θ = 44.5°, rel. 39
2θ = 45.8°, rel. 16
2θ = 55.1°, rel. 19
2θ = 73.4°, rel. 16

Structure:
Cell lengths 8.928, 8.928, 8.928 Å; angles 26.35, 26.35, 26.35 degrees
Element x y z (fractional)
Pr 0.000 0.000 0.000
Pr 0.211 0.211 0.211
Mg 0.771 0.771 0.771
Ru 0.606 0.606 0.606


[4]
Theoretical powder diffraction line list of PrYMgRu for Cu Kα X-rays, from a cell relaxed with PBE.
Peak positions follow from Bragg's law for the DFT cell and can differ from measured ones.

Principal peaks in the range 2θ from 10° to 80°, low angle first:
2θ = 10.7°, rel. 73
2θ = 33.5°, rel. 100
2θ = 36.2°, rel. 49
2θ = 37.8°, rel. 14
2θ = 41.7°, rel. 31
2θ = 52.1°, rel. 17
2θ = 58.2°, rel. 10
2θ = 63.4°, rel. 31
2θ = 68.3°, rel. 11
2θ = 68.9°, rel. 14

Structure:
Cell lengths 3.512, 3.512, 8.247 Å; angles 90.00, 90.00, 90.00 degrees
Element x y z (fractional)
Pr 0.000 0.000 0.000
Y 0.000 0.000 0.589
Mg 0.500 0.500 0.306
Ru 0.500 0.500 0.783


[5]
Theoretical powder diffraction line list of Pr5MgSb2 for Cu Kα X-rays, from a cell relaxed with PBE.
Peak positions follow from Bragg's law for the DFT cell and can differ from measured ones.

Principal peaks in the range 2θ from 10° to 80°, low angle first:
2θ = 11.5°, rel. 26
2θ = 22.8°, rel. 22
2θ = 28.7°, rel. 65
2θ = 30.2°, rel. 17
2θ = 30.5°, rel. 62
2θ = 32.1°, rel. 100
2θ = 34.5°, rel. 18
2θ = 35.0°, rel. 18
2θ = 55.2°, rel. 22
2θ = 61.0°, rel. 18

Structure:
Cell lengths 6.713, 6.713, 15.379 Å; angles 90.00, 90.00, 128.15 degrees
Element x y z (fractional)
Pr 0.073 0.927 0.602
Pr 0.073 0.927 0.898
Pr 0.376 0.624 0.550
Pr 0.376 0.624 0.950
Pr 0.382 0.618 0.250
Pr 0.618 0.382 0.750
Pr 0.624 0.376 0.050
Pr 0.624 0.376 0.450
Pr 0.927 0.073 0.102
Pr 0.927 0.073 0.398
Mg 0.309 0.691 0.750
Mg 0.691 0.309 0.250
Sb 0.196 0.804 0.105
Sb 0.196 0.804 0.395
Sb 0.804 0.196 0.605
Sb 0.804 0.196 0.895


[6]
Theoretical powder diffraction line list of PrMgSb for Cu Kα X-rays, from a cell relaxed with PBE.
Peak positions follow from Bragg's law for the DFT cell and can differ from measured ones.

Principal peaks in the range 2θ from 10° to 80°, low angle first:
2θ = 18.9°, rel. 73
2θ = 28.1°, rel. 56
2θ = 34.1°, rel. 100
2θ = 36.9°, rel. 20
2θ = 38.3°, rel. 18
2θ = 41.8°, rel. 19
2θ = 48.2°, rel. 25
2θ = 64.7°, rel. 15
2θ = 66.6°, rel. 14
2θ = 71.7°, rel. 15

Structure:
Cell lengths 4.195, 4.698, 4.868 Å; angles 90.00, 90.00, 90.00 degrees
Element x y z (fractional)
Pr 0.000 0.000 0.000
Mg 0.000 0.500 0.500
Sb 0.500 0.000 0.500


[7]
Theoretical powder diffraction line list of PrMgSc for Cu Kα X-rays, from a cell relaxed with PBE.
Peak positions follow from Bragg's law for the DFT cell and can differ from measured ones.

Principal peaks in the range 2θ from 10° to 80°, low angle first:
2θ = 12.4°, rel. 50
2θ = 25.0°, rel. 15
2θ = 26.7°, rel. 43
2θ = 32.2°, rel. 100
2θ = 37.0°, rel. 34
2θ = 37.9°, rel. 15
2θ = 39.2°, rel. 13
2θ = 54.0°, rel. 21
2θ = 63.7°, rel. 27
2θ = 64.9°, rel. 13

Structure:
Cell lengths 14.240, 3.434, 3.434 Å; angles 89.99, 90.00, 90.00 degrees
Element x y z (fractional)
Pr 0.245 0.250 0.750
Pr 0.755 0.750 0.250
Mg 0.070 0.748 0.248
Mg 0.930 0.248 0.748
Sc 0.423 0.751 0.251
Sc 0.577 0.251 0.751


[8]
Theoretical powder diffraction line list of Pr6Mg5Sc for Cu Kα X-rays, from a cell relaxed with PBE.
Peak positions follow from Bragg's law for the DFT cell and can differ from measured ones.

Principal peaks in the range 2θ from 10° to 80°, low angle first:
2θ = 22.7°, rel. 53
2θ = 22.8°, rel. 26
2θ = 32.3°, rel. 50
2θ = 32.3°, rel. 100
2θ = 39.9°, rel. 25
2θ = 46.3°, rel. 18
2θ = 52.1°, rel. 17
2θ = 57.6°, rel. 38
2θ = 57.7°, rel. 19
2θ = 67.7°, rel. 14

Structure:
Cell lengths 5.542, 7.811, 8.779 Å; angles 90.00, 108.39, 90.00 degrees
Element x y z (fractional)
Pr 0.000 0.247 0.000
Pr 0.000 0.753 0.000
Pr 0.335 0.251 0.666
Pr 0.335 0.749 0.666
Pr 0.665 0.251 0.334
Pr 0.665 0.749 0.334
Mg 0.161 0.500 0.327
Mg 0.165 0.000 0.335
Mg 0.500 0.000 0.000
Mg 0.835 0.000 0.665
Mg 0.839 0.500 0.673
Sc 0.500 0.500 0.000


[9]
Theoretical powder diffraction line list of Pr2MgSe4 for Cu Kα X-rays, from a cell relaxed with PBE.
Peak positions follow from Bragg's law for the DFT cell and can differ from measured ones.

Principal peaks in the range 2θ from 10° to 80°, low angle first:
2θ = 18.1°, rel. 42
2θ = 20.9°, rel. 100
2θ = 26.1°, rel. 36
2θ = 27.4°, rel. 54
2θ = 28.5°, rel. 49
2θ = 35.1°, rel. 85
2θ = 35.3°, rel. 42
2θ = 38.6°, rel. 46
2θ = 39.3°, rel. 100
2θ = 44.4°, rel. 72

Structure:
Cell lengths 7.045, 7.709, 14.677 Å; angles 90.00, 90.00, 90.00 degrees
Element x y z (fractional)
Pr 0.005 0.106 0.142
Pr 0.005 0.394 0.642
Pr 0.495 0.606 0.142
Pr 0.495 0.894 0.642
Pr 0.505 0.106 0.358
Pr 0.505 0.394 0.858
Pr 0.995 0.606 0.358
Pr 0.995 0.894 0.858
Mg 0.000 0.000 0.500
Mg 0.000 0.500 0.000
Mg 0.500 0.000 0.000
Mg 0.500 0.500 0.500
Se 0.122 0.533 0.821
Se 0.122 0.967 0.321
Se 0.184 0.687 0.542
Se 0.184 0.813 0.042
Se 0.316 0.187 0.542
Se 0.316 0.313 0.042
Se 0.378 0.033 0.821
Se 0.378 0.467 0.321
Se 0.622 0.533 0.679
Se 0.622 0.967 0.179
Se 0.684 0.687 0.958
Se 0.684 0.813 0.458
Se 0.816 0.187 0.958
Se 0.816 0.313 0.458
Se 0.878 0.033 0.679
Se 0.878 0.467 0.179


[10]
Theoretical powder diffraction line list of Pr2MgSe4 for Cu Kα X-rays, from a cell relaxed with PBE.
Peak positions follow from Bragg's law for the DFT cell and can differ from measured ones.

Principal peaks in the range 2θ from 10° to 80°, low angle first:
2θ = 14.0°, rel. 34
2θ = 17.4°, rel. 56
2θ = 22.2°, rel. 28
2θ = 25.0°, rel. 38
2θ = 27.2°, rel. 63
2θ = 27.5°, rel. 39
2θ = 35.2°, rel. 100
2θ = 35.5°, rel. 37
2θ = 41.9°, rel. 30
2θ = 42.5°, rel. 49

Structure:
Cell lengths 14.661, 8.621, 7.000 Å; angles 90.00, 90.00, 90.00 degrees
Element x y z (fractional)
Pr 0.000 0.000 0.000
Pr 0.000 0.500 0.000
Pr 0.232 0.250 0.490
Pr 0.268 0.750 0.990
Pr 0.500 0.000 0.500
Pr 0.500 0.500 0.500
Pr 0.732 0.250 0.010
Pr 0.768 0.750 0.510
Mg 0.095 0.750 0.413
Mg 0.405 0.250 0.913
Mg 0.595 0.750 0.087
Mg 0.905 0.250 0.587
Se 0.068 0.250 0.742
Se 0.090 0.750 0.777
Se 0.170 0.515 0.240
Se 0.170 0.985 0.240
Se 0.330 0.015 0.740
Se 0.330 0.485 0.740
Se 0.410 0.250 0.277
Se 0.432 0.750 0.242
Se 0.568 0.250 0.758
Se 0.590 0.750 0.723
Se 0.670 0.515 0.260
Se 0.670 0.985 0.260
Se 0.830 0.015 0.760
Se 0.830 0.485 0.760
Se 0.910 0.250 0.223
Se 0.932 0.750 0.258


[11]
Theoretical powder diffraction line list of Pr2MgZnSe5 for Cu Kα X-rays, from a cell relaxed with PBE.
Peak positions follow from Bragg's law for the DFT cell and can differ from measured ones.

Principal peaks in the range 2θ from 10° to 80°, low angle first:
2θ = 26.8°, rel. 32
2θ = 30.0°, rel. 23
2θ = 30.4°, rel. 42
2θ = 31.3°, rel. 53
2θ = 31.6°, rel. 100
2θ = 33.5°, rel. 36
2θ = 36.8°, rel. 47
2θ = 38.6°, rel. 21
2θ = 40.5°, rel. 28
2θ = 44.3°, rel. 37

Structure:
Cell lengths 9.052, 9.052, 12.107 Å; angles 90.00, 90.00, 153.88 degrees
Element x y z (fractional)
Pr 0.114 0.886 0.500
Pr 0.131 0.869 0.116
Pr 0.869 0.131 0.616
Pr 0.886 0.114 0.000
Mg 0.204 0.796 0.825
Mg 0.796 0.204 0.325
Zn 0.441 0.559 0.270
Zn 0.559 0.441 0.770
Se 0.048 0.952 0.878
Se 0.287 0.713 0.477
Se 0.311 0.689 0.167
Se 0.355 0.645 0.812
Se 0.498 0.502 0.591
Se 0.502 0.498 0.091
Se 0.645 0.355 0.312
Se 0.689 0.311 0.667
Se 0.713 0.287 0.977
Se 0.952 0.048 0.378


[12]
Theoretical powder diffraction line list of Pr2MgSi for Cu Kα X-rays, from a cell relaxed with PBE.
Peak positions follow from Bragg's law for the DFT cell and can differ from measured ones.

Principal peaks in the range 2θ from 10° to 80°, low angle first:
2θ = 22.5°, rel. 74
2θ = 25.7°, rel. 23
2θ = 32.1°, rel. 67
2θ = 34.4°, rel. 100
2θ = 41.5°, rel. 26
2θ = 46.0°, rel. 24
2θ = 51.8°, rel. 16
2θ = 53.4°, rel. 13
2θ = 58.7°, rel. 42
2θ = 63.1°, rel. 12

Structure:
Cell lengths 3.945, 3.945, 6.939 Å; angles 90.00, 90.00, 90.00 degrees
Element x y z (fractional)
Pr 0.000 0.000 0.222
Pr 0.000 0.000 0.778
Mg 0.500 0.500 0.500
Si 0.500 0.500 0.000


[13]
Theoretical powder diffraction line list of PrMg2Si2 for Cu Kα X-rays, from a cell relaxed with PBE.
Peak positions follow from Bragg's law for the DFT cell and can differ from measured ones.

Principal peaks in the range 2θ from 10° to 80°, low angle first:
2θ = 16.0°, rel. 57
2θ = 20.2°, rel. 50
2θ = 22.3°, rel. 64
2θ = 28.5°, rel. 63
2θ = 31.9°, rel. 100
2θ = 32.1°, rel. 86
2θ = 33.9°, rel. 67
2θ = 39.2°, rel. 39
2θ = 42.3°, rel. 39
2θ = 59.0°, rel. 41

Structure:
Cell lengths 4.618, 4.274, 11.110 Å; angles 90.00, 95.97, 90.00 degrees
Element x y z (fractional)
Pr 0.183 0.250 0.244
Pr 0.817 0.750 0.756
Mg 0.249 0.750 0.498
Mg 0.348 0.250 0.885
Mg 0.652 0.750 0.115
Mg 0.751 0.250 0.502
Si 0.131 0.750 0.011
Si 0.285 0.250 0.648
Si 0.715 0.750 0.352
Si 0.869 0.250 0.989